# 1
Diffraction record for Ni3Au. The XRD peak list is calculated, not measured: it uses a cell relaxed with PBE and Cu Kα X-rays.
Neutral-atom scattering factors, no anomalous dispersion.

Structure:
Unit cell a=4.2885 b=5.2190 c=4.5527 alpha=90.00 beta=90.00 gamma=90.00
Space group Pmmn (No. 59, origin choice 2)
Inequivalent atoms, fractional coordinates:
Ni (0.2500, 0.0023, 0.1548) (multiplicity 4)
Ni (0.2500, 0.2500, 0.6875) (multiplicity 2)
Au (0.2500, 0.7500, 0.6552) (multiplicity 2)

Most intense lines, 2θ from 10° to 80°, in order of rising 2θ:
2θ = 25.97°, intensity 22
2θ = 26.91°, intensity 31
2θ = 39.82°, intensity 29
2θ = 42.14°, intensity 43
2θ = 45.09°, intensity 57
2θ = 45.29°, intensity 100


# 2
Diffraction record for Tb9SmEr2. The XRD peak list is calculated, not measured: it uses a cell relaxed with PBE and Cu Kα X-rays.
Neutral-atom scattering factors, no anomalous dispersion.

Structure:
Unit cell a=11.2455 b=11.2455 c=3.5035 alpha=90.00 beta=90.00 gamma=120.00
Space group P6/mmm (No. 191)
Inequivalent atoms, fractional coordinates:
Tb (0.0000, 0.5000, 0.0000) (multiplicity 3)
Tb (0.1773, 0.3546, 0.5000) (multiplicity 6)
Sm (0.0000, 0.0000, 0.0000) (multiplicity 1)
Er (0.3333, 0.6667, 0.0000) (multiplicity 2)

Most intense lines, 2θ from 10° to 80°, in order of rising 2θ:
2θ = 30.05°, intensity 27
2θ = 31.46°, intensity 51
2θ = 31.83°, intensity 100
2θ = 35.37°, intensity 20
2θ = 56.48°, intensity 18
2θ = 62.47°, intensity 30


# 3
Diffraction record for Sm3DyTl3. The XRD peak list is calculated, not measured: it uses a cell relaxed with PBE and Cu Kα X-rays.
Neutral-atom scattering factors, no anomalous dispersion.

Structure:
Unit cell a=9.4727 b=9.4727 c=9.4727 alpha=90.00 beta=90.00 gamma=90.00
Space group P2_13 (No. 198)
Inequivalent atoms, fractional coordinates:
Sm (0.0708, 0.4292, 0.5708) (multiplicity 4)
Sm (0.1748, 0.8252, 0.3252) (multiplicity 4)
Sm (0.1760, 0.1760, 0.1760) (multiplicity 4)
Dy (0.0736, 0.5736, 0.9264) (multiplicity 4)
Tl (0.0008, 0.2530, 0.8704) (multiplicity 12)

Most intense lines, 2θ from 10° to 80°, in order of rising 2θ:
2θ = 29.83°, intensity 100
2θ = 35.46°, intensity 68
2θ = 42.69°, intensity 18
2θ = 49.04°, intensity 19
2θ = 60.22°, intensity 30
2θ = 73.46°, intensity 18


# 4
Diffraction record for Ho3RuO7. The XRD peak list is calculated, not measured: it uses a cell relaxed with PBE and Cu Kα X-rays.
Neutral-atom scattering factors, no anomalous dispersion.

Structure:
Unit cell a=7.4886 b=10.4510 c=7.3750 alpha=90.00 beta=90.00 gamma=90.00
Space group C222_1 (No. 20)
Inequivalent atoms, fractional coordinates:
Ho (0.0313, 0.0000, 0.0000) (multiplicity 4)
Ho (0.2321, 0.2690, 0.7566) (multiplicity 8)
Ru (0.9999, 0.5000, 0.0000) (multiplicity 4)
O (0.0000, 0.1301, 0.2500) (multiplicity 4)
O (0.0000, 0.1383, 0.7500) (multiplicity 4)
O (0.0000, 0.4277, 0.7500) (multiplicity 4)
O (0.1842, 0.3736, 0.0386) (multiplicity 8)
O (0.2039, 0.3770, 0.4745) (multiplicity 8)

Most intense lines, 2θ from 10° to 80°, in order of rising 2θ:
2θ = 29.34°, intensity 100
2θ = 29.65°, intensity 100
2θ = 34.13°, intensity 46
2θ = 49.18°, intensity 55
2θ = 58.00°, intensity 23
2θ = 58.51°, intensity 39